[1]
Theoretical powder XRD pattern of Sc4GaSe for Cu Ka, from a crystal structure in Alexandria, relaxed with PBE.
No peak broadening, texture or thermal motion is included.

Most intense lines, 2θ from 15° to 90°, in order of rising 2θ:
Position (°2θ)	I (rel.)
18.50	25
32.52	26
36.24	63
36.51	36
37.79	100
38.89	67
43.47	25
52.39	24

Structural model:
Cell lengths 9.818, 9.818, 5.754 Å; angles 90.00, 90.00, 150.75 degrees
Sites, in units of the cell vectors:
Sc (0.063, 0.937, 0.750)
Sc (0.210, 0.790, 0.507)
Sc (0.210, 0.790, 0.993)
Sc (0.372, 0.628, 0.750)
Sc (0.628, 0.372, 0.250)
Sc (0.790, 0.210, 0.007)
Sc (0.790, 0.210, 0.493)
Sc (0.937, 0.063, 0.250)
Ga (0.348, 0.652, 0.250)
Ga (0.652, 0.348, 0.750)
Se (0.077, 0.923, 0.250)
Se (0.923, 0.077, 0.750)


[2]
Theoretical powder XRD pattern of Ba10Ge7O3 for Cu Ka, from a crystal structure in Alexandria, relaxed with PBE.
No peak broadening, texture or thermal motion is included.

Most intense lines, 2θ from 15° to 90°, in order of rising 2θ:
Position (°2θ)	I (rel.)
24.53	13
28.72	100
29.67	12
34.39	17
35.53	19
48.81	15
50.28	11
59.69	12

Structural model:
Cell lengths 12.045, 12.045, 5.053 Å; angles 90.00, 90.00, 120.00 degrees
Sites, in units of the cell vectors:
Ba (0.000, 0.000, 0.000)
Ba (0.004, 0.502, 0.500)
Ba (0.209, 0.418, 0.000)
Ba (0.209, 0.791, 0.000)
Ba (0.422, 0.211, 0.000)
Ba (0.498, 0.502, 0.500)
Ba (0.498, 0.996, 0.500)
Ba (0.582, 0.791, 0.000)
Ba (0.789, 0.211, 0.000)
Ba (0.789, 0.578, 0.000)
Ge (0.211, 0.001, 0.500)
Ge (0.211, 0.210, 0.500)
Ge (0.333, 0.667, 0.500)
Ge (0.790, 0.001, 0.500)
Ge (0.790, 0.789, 0.500)
Ge (0.999, 0.210, 0.500)
Ge (0.999, 0.789, 0.500)
O (0.533, 0.067, 0.000)
O (0.533, 0.467, 0.000)
O (0.933, 0.467, 0.000)


[3]
Theoretical powder XRD pattern of CaAg2Pd for Cu Ka, from a crystal structure in Alexandria, relaxed with PBE.
No peak broadening, texture or thermal motion is included.

Most intense lines, 2θ from 15° to 90°, in order of rising 2θ:
Position (°2θ)	I (rel.)
17.87	44
21.36	37
32.17	100
35.78	78
40.45	65
41.41	66
41.89	96
43.51	38

Structural model:
Cell lengths 4.460, 7.629, 5.438 Å; angles 90.00, 114.13, 90.00 degrees
Sites, in units of the cell vectors:
Ca (0.074, 0.250, 0.146)
Ca (0.926, 0.750, 0.854)
Ag (0.363, 0.058, 0.725)
Ag (0.363, 0.442, 0.725)
Ag (0.637, 0.558, 0.275)
Ag (0.637, 0.942, 0.275)
Pd (0.218, 0.750, 0.437)
Pd (0.782, 0.250, 0.563)


[4]
Theoretical powder XRD pattern of AcPr2Pb9 for Cu Ka, from a crystal structure in Alexandria, relaxed with PBE.
No peak broadening, texture or thermal motion is included.

Most intense lines, 2θ from 15° to 90°, in order of rising 2θ:
Position (°2θ)	I (rel.)
31.07	100
35.97	34
36.16	17
51.78	12
51.92	24
61.63	29
61.88	14
64.79	13

Structural model:
Cell lengths 4.993, 4.993, 14.905 Å; angles 90.00, 90.00, 90.00 degrees
Sites, in units of the cell vectors:
Ac (0.000, 0.000, 0.000)
Pr (0.000, 0.000, 0.336)
Pr (0.000, 0.000, 0.664)
Pb (0.000, 0.500, 0.172)
Pb (0.000, 0.500, 0.500)
Pb (0.000, 0.500, 0.828)
Pb (0.500, 0.000, 0.172)
Pb (0.500, 0.000, 0.500)
Pb (0.500, 0.000, 0.828)
Pb (0.500, 0.500, 0.000)
Pb (0.500, 0.500, 0.336)
Pb (0.500, 0.500, 0.664)


[5]
Theoretical powder XRD pattern of Sr2Cd10In for Cu Ka, from a crystal structure in Alexandria, relaxed with PBE.
No peak broadening, texture or thermal motion is included.

Most intense lines, 2θ from 15° to 90°, in order of rising 2θ:
Position (°2θ)	I (rel.)
33.61	62
34.28	100
34.41	88
36.46	68
36.67	68
37.38	92
37.51	89
38.71	67

Structural model:
Cell lengths 10.668, 12.302, 6.190 Å; angles 90.00, 90.00, 90.00 degrees
Sites, in units of the cell vectors:
Sr (0.135, 0.128, 0.000)
Sr (0.365, 0.628, 0.000)
Sr (0.635, 0.372, 0.000)
Sr (0.865, 0.872, 0.000)
Cd (0.040, 0.889, 0.500)
Cd (0.081, 0.695, 0.232)
Cd (0.081, 0.695, 0.768)
Cd (0.185, 0.302, 0.500)
Cd (0.236, 0.051, 0.500)
Cd (0.264, 0.551, 0.500)
Cd (0.315, 0.802, 0.500)
Cd (0.419, 0.195, 0.232)
Cd (0.419, 0.195, 0.768)
Cd (0.460, 0.389, 0.500)
Cd (0.540, 0.611, 0.500)
Cd (0.581, 0.805, 0.232)
Cd (0.581, 0.805, 0.768)
Cd (0.685, 0.198, 0.500)
Cd (0.736, 0.449, 0.500)
Cd (0.764, 0.949, 0.500)
Cd (0.815, 0.698, 0.500)
Cd (0.919, 0.305, 0.232)
Cd (0.919, 0.305, 0.768)
Cd (0.960, 0.111, 0.500)
In (0.000, 0.500, 0.500)
In (0.500, 0.000, 0.500)


[6]
Theoretical powder XRD pattern of Ba2NdThO6 for Cu Ka, from a crystal structure in Alexandria, relaxed with PBE.
No peak broadening, texture or thermal motion is included.

Most intense lines, 2θ from 15° to 90°, in order of rising 2θ:
Position (°2θ)	I (rel.)
27.74	24
27.88	100
27.99	24
39.83	38
49.15	20
49.45	35
57.62	15
65.18	13

Structural model:
Cell lengths 6.376, 6.432, 11.060 Å; angles 90.00, 125.16, 90.00 degrees
Sites, in units of the cell vectors:
Ba (0.239, 0.032, 0.250)
Ba (0.239, 0.468, 0.750)
Ba (0.761, 0.532, 0.250)
Ba (0.761, 0.968, 0.750)
Nd (0.000, 0.000, 0.500)
Nd (0.000, 0.500, 0.000)
Th (0.500, 0.000, 0.000)
Th (0.500, 0.500, 0.500)
O (0.170, 0.210, 0.952)
O (0.170, 0.290, 0.452)
O (0.240, 0.719, 0.950)
O (0.240, 0.781, 0.450)
O (0.343, 0.029, 0.754)
O (0.343, 0.471, 0.254)
O (0.657, 0.529, 0.746)
O (0.657, 0.971, 0.246)
O (0.760, 0.219, 0.550)
O (0.760, 0.281, 0.050)
O (0.830, 0.710, 0.548)
O (0.830, 0.790, 0.048)